No. 1
For Dy2FeSi4, DFT lattice parameters and positions (PBE) gives the computed X-ray diffraction stick pattern in this record (copper Kα).
Intensities are scaled so that the largest is 100.

Structure:
```
data_Dy2FeSi4
_chemical_formula_sum 'Dy4 Fe2 Si8'
_cell_length_a 3.9777
_cell_length_b 4.0384
_cell_length_c 16.0442
_cell_angle_alpha 90.00
_cell_angle_beta 90.00
_cell_angle_gamma 90.00
_symmetry_space_group_name_H-M 'A m m 2'
_symmetry_Int_Tables_number 38
loop_
_symmetry_equiv_pos_as_xyz
'x,y,z'
'-x,-y,z'
'-x,y,z'
'x,-y,z'
'x,y+1/2,z+1/2'
'-x,-y+1/2,z+1/2'
'-x,y+1/2,z+1/2'
'x,-y+1/2,z+1/2'
loop_
_atom_site_label
_atom_site_type_symbol
_atom_site_fract_x
_atom_site_fract_y
_atom_site_fract_z
_atom_site_occupancy
Dy1 Dy 0.0000 0.0000 0.0000 1
Dy2 Dy 0.5000 0.0000 0.2175 1
Fe1 Fe 0.0000 0.0000 0.3560 1
Si1 Si 0.0000 0.0000 0.6457 1
Si2 Si 0.0000 0.0000 0.7992 1
Si3 Si 0.5000 0.0000 0.4139 1
Si4 Si 0.5000 0.0000 0.5634 1
```

Principal peaks in the range 15 to 90 degrees two-theta, low angle first:
index	two_theta	Rel. int.
0 0 4	22.16	25
0 1 1	22.71	41
1 0 2	24.99	62
1 1 1	32.07	48
0 1 5	35.74	57
1 1 3	35.86	100
1 0 6	40.66	39
0 2 0	44.89	25
2 0 0	45.61	24
2 1 5	59.26	26

***

No. 2
For Na2Mg2ReO6, DFT lattice parameters and positions (PBE) gives the computed X-ray diffraction stick pattern in this record (copper Kα).
Intensities are scaled so that the largest is 100.

Structure:
```
data_Na2Mg2ReO6
_chemical_formula_sum 'Na4 Mg4 Re2 O12'
_cell_length_a 5.3674
_cell_length_b 9.0336
_cell_length_c 5.8322
_cell_angle_alpha 90.00
_cell_angle_beta 109.08
_cell_angle_gamma 90.00
_symmetry_space_group_name_H-M 'C 1 2/m 1'
_symmetry_Int_Tables_number 12
loop_
_symmetry_equiv_pos_as_xyz
'x,y,z'
'-x,-y,-z'
'-x,y,-z'
'x,-y,z'
'x+1/2,y+1/2,z'
'-x+1/2,-y+1/2,-z'
'-x+1/2,y+1/2,-z'
'x+1/2,-y+1/2,z'
loop_
_atom_site_label
_atom_site_type_symbol
_atom_site_fract_x
_atom_site_fract_y
_atom_site_fract_z
_atom_site_occupancy
Na1 Na 0.0000 0.1730 0.0000 1
Mg1 Mg 0.0000 0.3370 0.5000 1
Re1 Re 0.0000 0.0000 0.5000 1
O1 O 0.2186 0.1576 0.6932 1
O2 O 0.2397 0.0000 0.3080 1
```

Principal peaks in the range 15 to 90 degrees two-theta, low angle first:
index	two_theta	Rel. int.
0 0 1	16.08	100
0 2 0	19.65	23
1 1 0	20.08	84
1 1 -1	21.89	37
0 2 1	25.50	48
1 1 -2	33.04	21
1 3 -1	35.77	20
2 0 -2	39.65	28
1 3 1	40.91	51
1 1 2	43.33	19

***

What is the formula in the second record?
Na2Mg2ReO6